Entry 1:
This entry pairs a crystal structure of BeAgH3 with its theoretical XRD peak list. Radiation: Cu Kα (weighted mean of Kα1 and Kα2). Structure: a structure optimized by DFT (PBE).

Most intense lines, 2θ from 15° to 90°, by angle:
- hkl 0 2 0, 25.39°, I 54
- hkl 1 0 1, 26.60°, I 29
- hkl 1 1 1, 29.54°, I 100
- hkl 2 1 0, 37.10°, I 79
- hkl 1 3 1, 47.41°, I 27
- hkl 2 1 2, 56.46°, I 17

Atomic structure:
Cell lengths 5.1636, 7.0153, 4.4048 Å; angles 90.00, 90.00, 90.00 degrees
Space group Pnma (No. 62)
Unique sites:
Be 0.0000 0.0000 0.0000 [4 per cell]
Ag 0.1470 0.2500 0.4570 [4 per cell]
H 0.0090 0.2500 0.8459 [4 per cell]
H 0.2372 0.0458 0.1862 [8 per cell]

=====

Entry 2:
This entry pairs a crystal structure of BeNbAgPt with its theoretical XRD peak list. Radiation: Cu Kα (weighted mean of Kα1 and Kα2). Structure: a structure optimized by DFT (PBE).

Most intense lines, 2θ from 15° to 90°, by angle:
- hkl 1 1 1, 24.71°, I 52
- hkl 2 2 0, 40.90°, I 100
- hkl 3 1 1, 48.37°, I 27
- hkl 4 0 0, 59.22°, I 17
- hkl 4 2 2, 74.48°, I 33
- hkl 4 4 0, 88.65°, I 11

Atomic structure:
Cell lengths 6.2411, 6.2411, 6.2411 Å; angles 90.00, 90.00, 90.00 degrees
Space group F-43m (No. 216)
Unique sites:
Be 0.0000 0.0000 0.0000 [4 per cell]
Nb 0.2500 0.2500 0.7500 [4 per cell]
Ag 0.2500 0.2500 0.2500 [4 per cell]
Pt 0.0000 0.0000 0.5000 [4 per cell]

=====

Entry 3:
This entry pairs a crystal structure of Be2AgO4 with its theoretical XRD peak list. Radiation: Cu Kα (weighted mean of Kα1 and Kα2). Structure: a structure optimized by DFT (PBE).

Most intense lines, 2θ from 15° to 90°, by angle:
- hkl 1 1 1, 19.39°, I 54
- hkl 2 2 0, 31.92°, I 100
- hkl 3 1 1, 37.62°, I 59
- hkl 3 3 1, 50.15°, I 32
- hkl 4 2 2, 56.89°, I 31
- hkl 5 1 1, 60.69°, I 27

Atomic structure:
Cell lengths 7.9293, 7.9293, 7.9293 Å; angles 90.00, 90.00, 90.00 degrees
Space group Fd-3m (No. 227, origin choice 2)
Unique sites:
Be 0.0000 0.0000 0.0000 [16 per cell]
Ag 0.1250 0.1250 0.6250 [8 per cell]
O 0.0223 0.0223 0.2277 [32 per cell]

=====

Entry 4:
This entry pairs a crystal structure of BeAgTeO with its theoretical XRD peak list. Radiation: Cu Kα (weighted mean of Kα1 and Kα2). Structure: a structure optimized by DFT (PBE).

Most intense lines, 2θ from 15° to 90°, by angle:
- hkl 0 1 1, 17.31°, I 98
- hkl 0 2 0, 30.02°, I 76
- hkl 1 0 3, 32.08°, I 100
- hkl 2 0 0, 35.68°, I 48
- hkl 1 1 4, 42.98°, I 65
- hkl 1 2 3, 44.51°, I 69

Atomic structure:
Cell lengths 5.0323, 5.9531, 10.0590 Å; angles 90.00, 90.00, 90.00 degrees
Space group P2_12_12_1 (No. 19)
Unique sites:
Be 0.2084 0.2486 0.0373 [4 per cell]
Ag 0.0008 0.2162 0.5810 [4 per cell]
Te 0.0061 0.2419 0.2884 [4 per cell]
O 0.0097 0.7967 0.5534 [4 per cell]

=====

Entry 5:
This entry pairs a crystal structure of BeAg3Sn5 with its theoretical XRD peak list. Radiation: Cu Kα (weighted mean of Kα1 and Kα2). Structure: a structure optimized by DFT (PBE).

Most intense lines, 2θ from 15° to 90°, by angle:
- hkl 1 1 1, 32.57°, I 100
- hkl 2 1 0, 35.06°, I 34
- hkl 2 0 1, 35.24°, I 18
- hkl 3 0 0, 39.94°, I 34
- hkl 2 1 1, 42.35°, I 33
- hkl 4 1 1, 67.91°, I 26

Atomic structure:
Cell lengths 7.8185, 7.8185, 3.8665 Å; angles 90.00, 90.00, 120.00 degrees
Space group P-62m (No. 189)
Unique sites:
Be 0.0000 0.0000 0.0000 [1 per cell]
Ag 0.0000 0.6534 0.0000 [3 per cell]
Sn 0.0000 0.2394 0.5000 [3 per cell]
Sn 0.3333 0.6667 0.5000 [2 per cell]

=====

Entry 6:
This entry pairs a crystal structure of Ag8Bi with its theoretical XRD peak list. Radiation: Cu Kα (weighted mean of Kα1 and Kα2). Structure: a structure optimized by DFT (PBE).

Most intense lines, 2θ from 15° to 90°, by angle:
- hkl 1 1 -8, 36.15°, I 92
- hkl 3 1 2, 37.44°, I 37
- hkl 3 1 3, 38.20°, I 100
- hkl 1 1 -9, 38.77°, I 65
- hkl 2 0 11, 41.73°, I 37
- hkl 5 1 -14, 75.10°, I 38

Atomic structure:
Cell lengths 9.2329, 4.0092, 26.9586 Å; angles 90.00, 90.02, 90.00 degrees
Space group C2/m (No. 12)
Unique sites:
Ag 0.0461 0.0000 0.1221 [4 per cell]
Ag 0.0515 0.0000 0.7711 [4 per cell]
Ag 0.0522 0.5000 0.9479 [4 per cell]
Ag 0.1473 0.5000 0.1931 [4 per cell]
Ag 0.1501 0.0000 0.0174 [4 per cell]
Ag 0.1525 0.5000 0.8420 [4 per cell]
Ag 0.2438 0.5000 0.7337 [4 per cell]
Ag 0.2466 0.5000 0.0885 [4 per cell]
Bi 0.0545 0.5000 0.3048 [4 per cell]

=====

Entry 7:
This entry pairs a crystal structure of Ag9Bi with its theoretical XRD peak list. Radiation: Cu Kα (weighted mean of Kα1 and Kα2). Structure: a structure optimized by DFT (PBE).

Most intense lines, 2θ from 15° to 90°, by angle:
- hkl 0 1 13, 36.44°, I 40
- hkl 1 1 0, 37.77°, I 100
- hkl 0 1 14, 38.24°, I 60
- hkl 1 0 13, 41.69°, I 27
- hkl 1 0 14, 43.31°, I 41
- hkl 0 2 0, 45.87°, I 28

Atomic structure:
Cell lengths 2.9829, 3.9573, 40.9801 Å; angles 90.00, 90.00, 90.00 degrees
Space group Pmmn (No. 59, origin choice 2)
Unique sites:
Ag 0.2500 0.2500 0.0182 [2 per cell]
Ag 0.2500 0.2500 0.0905 [2 per cell]
Ag 0.2500 0.2500 0.1631 [2 per cell]
Ag 0.2500 0.2500 0.2361 [2 per cell]
Ag 0.2500 0.2500 0.3098 [2 per cell]
Ag 0.2500 0.2500 0.7273 [2 per cell]
Ag 0.2500 0.2500 0.8005 [2 per cell]
Ag 0.2500 0.2500 0.8733 [2 per cell]
Ag 0.2500 0.2500 0.9458 [2 per cell]
Bi 0.2500 0.2500 0.6456 [2 per cell]

=====

Entry 8:
This entry pairs a crystal structure of AgBiH28C8Br8N4 with its theoretical XRD peak list. Radiation: Cu Kα (weighted mean of Kα1 and Kα2). Structure: a structure optimized by DFT (PBE).

Most intense lines, 2θ from 15° to 90°, by angle:
- hkl 1 -1 0, 15.44°, I 100
- hkl 1 1 0, 15.68°, I 99
- hkl 0 2 0, 22.07°, I 72
- hkl 0 0 3, 28.14°, I 61
- hkl 1 0 -3, 29.92°, I 64
- hkl 2 -2 1, 31.54°, I 94

Atomic structure:
Cell lengths 8.0482, 8.2221, 9.7070 Å; angles 101.23, 92.09, 90.45 degrees
Space group P-1 (No. 2)
Unique sites:
Ag 0.0000 0.0000 0.0000 [1 per cell]
Bi 0.5000 0.5000 0.0000 [1 per cell]
H 0.0292 0.7264 0.2108 [2 per cell]
H 0.0320 0.2339 0.5534 [2 per cell]
H 0.0352 0.4752 0.8244 [2 per cell]
H 0.1096 0.6090 0.6165 [2 per cell]
H 0.1436 0.5844 0.2709 [2 per cell]
H 0.1860 0.4709 0.4713 [2 per cell]
H 0.2069 0.3261 0.6576 [2 per cell]
H 0.2948 0.8552 0.6726 [2 per cell]
H 0.3132 0.9632 0.4633 [2 per cell]
H 0.3423 0.0622 0.2619 [2 per cell]
H 0.3928 0.1190 0.6013 [2 per cell]
H 0.4584 0.7459 0.5780 [2 per cell]
H 0.4637 0.1741 0.1798 [2 per cell]
H 0.4886 0.0239 0.8243 [2 per cell]
C 0.0806 0.3491 0.6200 [2 per cell]
C 0.0809 0.4921 0.5419 [2 per cell]
C 0.4194 0.8684 0.6330 [2 per cell]
C 0.4195 0.9958 0.5388 [2 per cell]
Br 0.0621 0.0368 0.2724 [2 per cell]
Br 0.2161 0.6920 0.9466 [2 per cell]
Br 0.2964 0.2056 0.9475 [2 per cell]
Br 0.4298 0.5404 0.2940 [2 per cell]
N 0.0212 0.6184 0.2515 [2 per cell]
N 0.4671 0.0827 0.2397 [2 per cell]

=====

Repeat the sixth record exactly.
This entry pairs a crystal structure of Ag8Bi with its theoretical XRD peak list. Radiation: Cu Kα (weighted mean of Kα1 and Kα2). Structure: a structure optimized by DFT (PBE).

Most intense lines, 2θ from 15° to 90°, by angle:
- hkl 1 1 -8, 36.15°, I 92
- hkl 3 1 2, 37.44°, I 37
- hkl 3 1 3, 38.20°, I 100
- hkl 1 1 -9, 38.77°, I 65
- hkl 2 0 11, 41.73°, I 37
- hkl 5 1 -14, 75.10°, I 38

Atomic structure:
Cell lengths 9.2329, 4.0092, 26.9586 Å; angles 90.00, 90.02, 90.00 degrees
Space group C2/m (No. 12)
Unique sites:
Ag 0.0461 0.0000 0.1221 [4 per cell]
Ag 0.0515 0.0000 0.7711 [4 per cell]
Ag 0.0522 0.5000 0.9479 [4 per cell]
Ag 0.1473 0.5000 0.1931 [4 per cell]
Ag 0.1501 0.0000 0.0174 [4 per cell]
Ag 0.1525 0.5000 0.8420 [4 per cell]
Ag 0.2438 0.5000 0.7337 [4 per cell]
Ag 0.2466 0.5000 0.0885 [4 per cell]
Bi 0.0545 0.5000 0.3048 [4 per cell]